No. 1
Starting from DFT lattice parameters and positions (PBE), the PXRD pattern of NdTl2InTe4 was simulated for Cu Kα (weighted mean of Kα1 and Kα2).

The 12 most intense peaks (5 to 70 degrees two-theta), in order of rising 2θ:
two_theta	I/Imax	(hkl)
20.9	12	2 0 0
26.1	32	2 1 1
29.7	49	2 2 0
31.4	100	2 0 2
38.0	10	2 2 2
42.5	17	4 0 0
45.5	15	4 1 1
47.8	14	4 2 0
49.0	12	4 0 2
53.8	21	4 2 2
57.0	14	2 2 4
69.6	10	4 2 4

Atomic structure:
Unit cell a=8.5059 b=8.5059 c=7.6709 alpha=90.00 beta=90.00 gamma=90.00
Space group I-42m (No. 121)
Symmetry-distinct sites (fractional):
Nd  0.0000  0.0000  0.0000 (multiplicity 2)
Tl  0.0000  0.5000  0.0000 (multiplicity 4)
In  0.0000  0.0000  0.5000 (multiplicity 2)
Te  0.1894  0.1894  0.7256 (multiplicity 8)

No. 2
Starting from DFT lattice parameters and positions (PBE), the PXRD pattern of Sc11Ga9Pt4 was simulated for Cu Kα (weighted mean of Kα1 and Kα2).

The 12 most intense peaks (5 to 70 degrees two-theta), in order of rising 2θ:
two_theta	I/Imax	(hkl)
7.9	100	1 1 0
17.5	28	0 4 0
20.4	32	3 1 0
26.8	47	0 0 1
35.0	29	2 4 1
36.2	31	3 3 1
37.9	79	4 6 0
38.0	98	0 6 1
38.1	90	4 0 1
40.5	43	3 5 1
55.3	27	0 0 2
68.9	26	4 6 2

Atomic structure:
Unit cell a=13.3901 b=20.2497 c=3.3250 alpha=90.00 beta=90.00 gamma=90.00
Space group Cmmm (No. 65)
Symmetry-distinct sites (fractional):
Sc  0.0000  0.0000  0.0000 (multiplicity 2)
Sc  0.0000  0.1617  0.0000 (multiplicity 4)
Sc  0.0000  0.3669  0.0000 (multiplicity 4)
Sc  0.2043  0.5000  0.0000 (multiplicity 4)
Sc  0.2347  0.1744  0.0000 (multiplicity 8)
Ga  0.0000  0.5000  0.5000 (multiplicity 2)
Ga  0.1048  0.2623  0.5000 (multiplicity 8)
Ga  0.1386  0.0730  0.5000 (multiplicity 8)
Pt  0.1558  0.3982  0.5000 (multiplicity 8)

No. 3
Starting from DFT lattice parameters and positions (PBE), the PXRD pattern of Na2Ti2MnSe6 was simulated for Cu Kα (weighted mean of Kα1 and Kα2).

The 12 most intense peaks (5 to 70 degrees two-theta), in order of rising 2θ:
two_theta	I/Imax	(hkl)
12.5	67	0 0 1
28.8	23	1 3 -1
29.0	11	2 0 0
32.3	100	1 3 1
32.6	49	2 0 -2
40.7	19	1 3 2
44.0	30	1 3 -3
44.1	15	2 0 2
48.5	17	0 6 0
49.0	33	3 3 -1
55.3	19	1 3 -4
59.7	16	2 6 -2

Atomic structure:
Unit cell a=6.4238 b=11.2560 c=7.4145 alpha=90.00 beta=106.69 gamma=90.00
Space group C2/m (No. 12)
Symmetry-distinct sites (fractional):
Na  0.0000  0.1636  0.0000 (multiplicity 4)
Ti  0.0000  0.3320  0.5000 (multiplicity 4)
Mn  0.0000  0.0000  0.5000 (multiplicity 2)
Se  0.2307  0.5000  0.7046 (multiplicity 4)
Se  0.2382  0.1690  0.7071 (multiplicity 8)

No. 4
Starting from DFT lattice parameters and positions (PBE), the PXRD pattern of Ba4LaTiNb3O15 was simulated for Cu Kα (weighted mean of Kα1 and Kα2).

The 12 most intense peaks (5 to 70 degrees two-theta), in order of rising 2θ:
two_theta	I/Imax	(hkl)
23.2	7	0 1 2
28.8	100	0 1 3
30.8	87	1 1 0
38.0	4	0 0 5
38.9	12	0 2 2
42.6	53	2 0 3
49.6	20	1 0 6
53.5	35	1 2 3
54.8	17	3 0 0
59.6	12	0 2 6
64.1	17	2 2 0
68.5	15	2 1 6

Atomic structure:
Unit cell a=5.8071 b=5.8071 c=11.8401 alpha=90.00 beta=90.00 gamma=120.00
Space group P3m1 (No. 156)
Symmetry-distinct sites (fractional):
Ba  0.0000  0.0000  0.0000 (multiplicity 1)
Ba  0.0000  0.0000  0.3699 (multiplicity 1)
Ba  0.3333  0.6667  0.1501 (multiplicity 1)
Ba  0.6667  0.3333  0.5779 (multiplicity 1)
La  0.3333  0.6667  0.7916 (multiplicity 1)
Ti  0.0000  0.0000  0.6809 (multiplicity 1)
Nb  0.3333  0.6667  0.4779 (multiplicity 1)
Nb  0.6667  0.3333  0.2599 (multiplicity 1)
Nb  0.6667  0.3333  0.8831 (multiplicity 1)
O  0.0040  0.5020  0.3852 (multiplicity 3)
O  0.0087  0.5043  0.9527 (multiplicity 3)
O  0.1686  0.3371  0.5837 (multiplicity 3)
O  0.3277  0.1638  0.7693 (multiplicity 3)
O  0.3368  0.1684  0.1858 (multiplicity 3)